For Tb8GaAu2, DFT lattice parameters and positions (PBE) gives the calculated PXRD pattern in this record (λ = 1.5418 Å (Cu Kα)).
Lines closer than 0.1° are merged.

Structure:
Lattice parameters (Å, degrees): 17.9035 5.1380 6.9159 90.00 106.44 90.00
Space group C2/m (No. 12)
One atom of each set of equivalent atoms:
Tb1 0.0283 0.0000 0.2788 (multiplicity 4)
Tb2 0.0918 0.5000 0.9574 (multiplicity 4)
Tb3 0.1678 0.5000 0.4767 (multiplicity 4)
Tb4 0.1989 0.0000 0.8208 (multiplicity 4)
Ga1 0.0000 0.5000 0.5000 (multiplicity 2)
Au1 0.1832 0.0000 0.2250 (multiplicity 4)

Top 10 peaks for 15 to 90 degrees two-theta, sorted by position:
2θ (°), intensity, index
29.06, 37, 3 1 1
31.05, 34, 5 1 -1
31.30, 100, 1 1 -2
32.21, 26, 3 1 -2
33.79, 41, 1 1 2
34.93, 58, 0 2 0
36.37, 26, 5 1 -2
39.49, 12, 7 1 -1
60.38, 14, 1 3 -2
67.03, 15, 7 1 3

=====

For Tb2TiGa4Au3, DFT lattice parameters and positions (PBE) gives the calculated PXRD pattern in this record (λ = 1.5418 Å (Cu Kα)).
Lines closer than 0.1° are merged.

Structure:
Lattice parameters (Å, degrees): 4.1640 4.1640 11.5272 90.00 90.00 90.00
Space group P-4m2 (No. 115)
One atom of each set of equivalent atoms:
Tb1 0.0000 0.5000 0.2450 (multiplicity 2)
Ti1 0.5000 0.5000 0.0000 (multiplicity 1)
Ga1 0.0000 0.0000 0.5000 (multiplicity 1)
Ga2 0.0000 0.5000 0.8592 (multiplicity 2)
Ga3 0.5000 0.5000 0.5000 (multiplicity 1)
Au1 0.0000 0.0000 0.0000 (multiplicity 1)
Au2 0.0000 0.5000 0.6405 (multiplicity 2)

Top 10 peaks for 15 to 90 degrees two-theta, sorted by position:
2θ (°), intensity, index
26.41, 27, 1 0 2
30.36, 22, 1 1 0
31.69, 64, 1 0 3
34.20, 100, 1 1 2
43.47, 61, 2 0 0
43.96, 26, 1 1 4
44.94, 51, 1 0 5
54.78, 28, 2 1 3
64.30, 35, 2 1 5
73.82, 21, 3 1 2

=====

For TbZnGaAu2, DFT lattice parameters and positions (PBE) gives the calculated PXRD pattern in this record (λ = 1.5418 Å (Cu Kα)).
Lines closer than 0.1° are merged.

Structure:
Lattice parameters (Å, degrees): 5.5116 13.4600 5.5942 90.00 90.00 90.00
Space group Cmme (No. 67)
One atom of each set of equivalent atoms:
Tb1 0.0000 0.2500 0.2315 (multiplicity 4)
Zn1 0.2500 0.0000 0.5000 (multiplicity 4)
Ga1 0.0000 0.0000 0.0000 (multiplicity 4)
Au1 0.0000 0.1477 0.7122 (multiplicity 8)

Top 10 peaks for 15 to 90 degrees two-theta, sorted by position:
2θ (°), intensity, index
23.60, 31, 1 1 1
30.25, 64, 1 3 1
32.00, 21, 0 0 2
32.49, 48, 2 0 0
34.73, 41, 0 2 2
35.19, 18, 2 2 0
40.64, 100, 1 5 1
46.25, 30, 2 0 2
62.93, 20, 1 5 3
63.52, 27, 3 5 1

=====

For GaTcAu, DFT lattice parameters and positions (PBE) gives the calculated PXRD pattern in this record (λ = 1.5418 Å (Cu Kα)).
Lines closer than 0.1° are merged.

Structure:
Lattice parameters (Å, degrees): 2.9312 4.2315 8.6479 76.09 87.32 89.92
Space group P-1 (No. 2)
One atom of each set of equivalent atoms:
Ga1 0.2012 0.0960 0.3161 (multiplicity 2)
Tc1 0.3216 0.4324 0.6272 (multiplicity 2)
Au1 0.2388 0.7118 0.0780 (multiplicity 2)

Top 10 peaks for 15 to 90 degrees two-theta, sorted by position:
2θ (°), intensity, index
21.66, 30, 0 1 1
32.02, 24, 0 0 3
34.04, 35, 0 1 -2
34.19, 36, 0 1 3
36.59, 27, 1 0 2
37.96, 34, -1 1 1
40.20, 100, 1 1 2
41.34, 35, 1 1 -1
41.48, 34, -1 1 2
42.74, 56, 0 2 1

=====

For Ga4TcAu, DFT lattice parameters and positions (PBE) gives the calculated PXRD pattern in this record (λ = 1.5418 Å (Cu Kα)).
Lines closer than 0.1° are merged.

Structure:
Lattice parameters (Å, degrees): 9.1680 10.5806 5.2133 90.00 118.62 90.00
Space group C2/c (No. 15)
One atom of each set of equivalent atoms:
Ga1 0.1087 0.1977 0.0812 (multiplicity 8)
Ga2 0.2373 0.4141 0.3029 (multiplicity 8)
Tc1 0.0000 0.0021 0.2500 (multiplicity 4)
Au1 0.0000 0.4157 0.7500 (multiplicity 4)

Top 10 peaks for 15 to 90 degrees two-theta, sorted by position:
2θ (°), intensity, index
16.76, 53, 0 2 0
22.09, 41, 2 0 0
27.23, 72, 2 2 -1
30.66, 100, 3 1 -1
37.02, 62, 1 3 1
40.05, 80, 2 2 1
40.38, 78, 2 4 -1
43.07, 42, 0 2 2
44.26, 63, 1 5 0
48.40, 41, 4 2 0

=====

For GaTe2Au, DFT lattice parameters and positions (PBE) gives the calculated PXRD pattern in this record (λ = 1.5418 Å (Cu Kα)).
Lines closer than 0.1° are merged.

Structure:
Lattice parameters (Å, degrees): 7.1979 4.1515 7.1047 90.00 109.78 90.00
Space group C2/m (No. 12)
One atom of each set of equivalent atoms:
Ga1 0.0000 0.0000 0.0000 (multiplicity 2)
Te1 0.2482 0.0000 0.7479 (multiplicity 4)
Au1 0.0000 0.5000 0.5000 (multiplicity 2)

Top 10 peaks for 15 to 90 degrees two-theta, sorted by position:
2θ (°), intensity, index
25.15, 9, 2 0 -1
30.59, 100, 1 1 1
43.58, 38, 0 2 0
44.03, 37, 2 0 2
54.18, 20, 4 0 0
63.68, 12, 2 2 2
71.96, 17, 4 2 0
72.61, 17, 3 1 3
80.02, 6, 6 0 -2
80.34, 13, 4 2 -4

=====

For GaTe2Au, DFT lattice parameters and positions (PBE) gives the calculated PXRD pattern in this record (λ = 1.5418 Å (Cu Kα)).
Lines closer than 0.1° are merged.

Structure:
Lattice parameters (Å, degrees): 12.8988 11.5264 14.0440 90.00 96.03 90.00
Space group C2/c (No. 15)
One atom of each set of equivalent atoms:
Ga1 0.1057 0.1758 0.1521 (multiplicity 8)
Ga2 0.1157 0.4291 0.3498 (multiplicity 8)
Te1 0.0000 0.0237 0.2500 (multiplicity 4)
Te2 0.9996 0.3196 0.0273 (multiplicity 8)
Te3 0.0000 0.4196 0.7500 (multiplicity 4)
Te4 0.2257 0.0510 0.0383 (multiplicity 8)
Te5 0.2436 0.2775 0.2790 (multiplicity 8)
Au1 0.1171 0.1402 0.5188 (multiplicity 8)
Au2 0.1716 0.0853 0.8454 (multiplicity 8)

Top 10 peaks for 15 to 90 degrees two-theta, sorted by position:
2θ (°), intensity, index
22.16, 56, 3 1 0
23.58, 100, 2 2 -2
27.90, 33, 3 1 -3
29.29, 86, 2 2 3
31.50, 27, 3 3 -1
31.94, 31, 4 0 2
40.13, 22, 4 0 4
42.14, 38, 1 5 2
42.23, 37, 4 4 -1
45.21, 38, 0 4 5

=====

For GaTe4Au2, DFT lattice parameters and positions (PBE) gives the calculated PXRD pattern in this record (λ = 1.5418 Å (Cu Kα)).
Lines closer than 0.1° are merged.

Structure:
Lattice parameters (Å, degrees): 7.0438 7.0438 8.5182 90.00 90.00 90.00
Space group I4/m (No. 87)
One atom of each set of equivalent atoms:
Ga1 0.0000 0.0000 0.0000 (multiplicity 2)
Te1 0.1382 0.2908 0.5000 (multiplicity 8)
Au1 0.0000 0.5000 0.2500 (multiplicity 4)

Top 10 peaks for 15 to 90 degrees two-theta, sorted by position:
2θ (°), intensity, index
17.81, 95, 1 1 0
27.56, 63, 1 1 2
30.25, 100, 2 1 1
33.00, 89, 2 0 2
36.07, 31, 2 2 0
42.45, 31, 0 0 4
42.88, 38, 2 1 3
45.98, 100, 1 3 2
58.61, 23, 4 2 0
75.00, 23, 4 2 4